No. 1
Theoretical PXRD pattern of KRb6HgF for Cu Kα, 1.54184 Å, from a cell relaxed with GGA-PBE.
No peak broadening, texture or thermal motion is included.

Lattice parameters (Å, degrees): 9.164 15.985 8.109 90.00 90.20 90.00
Space group C2 (No. 5)
Unique sites:
K  0.000  0.000  0.000 x2
Rb  0.111  0.527  0.283 x4
Rb  0.156  0.793  0.283 x4
Rb  0.230  0.183  0.283 x4
Hg  0.000  0.335  0.500 x2
F  0.000  0.668  0.500 x2

Principal peaks in the range 10° ≤ 2θ ≤ 80°, low angle first:
| h k l | two_theta | I (rel.) |
| --- | --- | --- |
| 0 0 1 | 10.91 | 54 |
| 1 1 0 | 11.11 | 58 |
| 1 1 1 | 15.60 | 88 |
| 1 3 -1 | 22.20 | 100 |
| 2 0 1 | 22.34 | 55 |
| 0 2 2 | 24.64 | 38 |
| 1 3 -2 | 29.33 | 69 |
| 2 0 2 | 29.47 | 25 |
| 1 5 1 | 31.63 | 54 |
| 3 1 -1 | 31.74 | 33 |
| 3 3 0 | 33.83 | 26 |
| 2 0 -3 | 38.64 | 36 |

No. 2
Theoretical PXRD pattern of Dy5NpRu4 for Cu Kα, 1.54184 Å, from a cell relaxed with GGA-PBE.
No peak broadening, texture or thermal motion is included.

Lattice parameters (Å, degrees): 15.406 4.564 6.824 90.00 103.04 90.00
Space group C2/m (No. 12)
Unique sites:
Dy  0.000  0.000  0.000 x2
Dy  0.168  0.500  0.042 x4
Dy  0.172  0.500  0.544 x4
Np  0.000  0.000  0.500 x2
Ru  0.003  0.500  0.721 x4
Ru  0.144  0.000  0.766 x4

Principal peaks in the range 10° ≤ 2θ ≤ 80°, low angle first:
| h k l | two_theta | I (rel.) |
| --- | --- | --- |
| 2 0 0 | 11.79 | 14 |
| 2 0 -1 | 15.69 | 17 |
| 3 1 0 | 26.43 | 41 |
| 0 0 2 | 26.82 | 16 |
| 3 1 -2 | 34.91 | 100 |
| 6 0 0 | 35.89 | 48 |
| 0 2 0 | 39.49 | 37 |
| 5 1 -2 | 40.78 | 14 |
| 3 1 2 | 40.92 | 56 |
| 6 2 0 | 54.42 | 26 |
| 9 1 -2 | 59.69 | 15 |
| 3 3 -2 | 68.69 | 20 |

No. 3
Theoretical PXRD pattern of Nd3Y8Er2 for Cu Kα, 1.54184 Å, from a cell relaxed with GGA-PBE.
No peak broadening, texture or thermal motion is included.

Lattice parameters (Å, degrees): 20.070 7.753 5.698 90.00 90.02 90.00
Space group C2/m (No. 12)
Unique sites:
Nd  0.000  0.000  0.000 x2
Nd  0.000  0.292  0.500 x4
Y  0.109  0.291  0.000 x8
Y  0.135  0.000  0.500 x4
Y  0.174  0.500  0.501 x4
Er  0.241  0.000  0.999 x4

Principal peaks in the range 10° ≤ 2θ ≤ 80°, low angle first:
| h k l | two_theta | I (rel.) |
| --- | --- | --- |
| 2 0 1 | 17.90 | 11 |
| 2 2 0 | 24.62 | 27 |
| 5 1 1 | 29.56 | 32 |
| 6 0 -1 | 31.00 | 32 |
| 0 0 2 | 31.40 | 42 |
| 4 2 1 | 33.17 | 100 |
| 1 3 0 | 35.01 | 10 |
| 8 0 0 | 35.79 | 13 |
| 2 2 -2 | 40.30 | 15 |
| 8 0 -2 | 48.34 | 11 |
| 4 2 -3 | 57.03 | 21 |
| 5 5 1 | 66.72 | 9 |